# K2NaS2ClO6
Simulated powder diffraction line list, Cu Kα (λ = 1.5418 Å). Input: a DFT-relaxed cell (GGA-PBE, Alexandria).

The 12 most intense peaks (5° ≤ 2θ ≤ 70°), in order of rising 2θ:
- 14.40°, 6.151 Å, rel. 19
- 21.30°, 4.172 Å, rel. 43
- 25.80°, 3.453 Å, rel. 48
- 27.80°, 3.209 Å, rel. 100
- 29.03°, 3.076 Å, rel. 13
- 31.51°, 2.839 Å, rel. 44
- 32.55°, 2.751 Å, rel. 55
- 33.13°, 2.704 Å, rel. 36
- 37.27°, 2.413 Å, rel. 35
- 42.86°, 2.110 Å, rel. 28
- 45.92°, 1.976 Å, rel. 23
- 54.16°, 1.693 Å, rel. 14

Cell and atoms:
a b c (Å): 12.3026 12.3026 5.6779
angles (deg): 90.00 90.00 90.00
Fractional positions:
K  0.0021  0.1931  0.0139
K  0.1931  0.4979  0.0139
K  0.3069  0.0021  0.0139
K  0.4979  0.3069  0.0139
K  0.5021  0.6931  0.9861
K  0.6931  0.9979  0.9861
K  0.8069  0.5021  0.9861
K  0.9979  0.8069  0.9861
Na  0.2500  0.2500  0.4470
Na  0.2500  0.7500  0.5000
Na  0.7500  0.2500  0.5000
Na  0.7500  0.7500  0.5530
S  0.0089  0.5878  0.4747
S  0.0878  0.9911  0.5253
S  0.4122  0.5089  0.5253
S  0.4911  0.9122  0.4747
S  0.5089  0.0878  0.5253
S  0.5878  0.4911  0.4747
S  0.9122  0.0089  0.4747
S  0.9911  0.4122  0.5253
Cl  0.2500  0.2500  0.9379
Cl  0.2500  0.7500  0.0000
Cl  0.7500  0.2500  0.0000
Cl  0.7500  0.7500  0.0621
O  0.0002  0.3975  0.7816
O  0.9998  0.6025  0.2184
O  0.0802  0.3627  0.3893
O  0.1025  0.0002  0.7816
O  0.1109  0.8824  0.4302
O  0.1176  0.6109  0.5698
O  0.1373  0.0802  0.3893
O  0.3627  0.4198  0.3893
O  0.3824  0.8891  0.5698
O  0.3891  0.6176  0.4302
O  0.3975  0.4998  0.7816
O  0.4198  0.1373  0.3893
O  0.4998  0.1025  0.7816
O  0.5002  0.8975  0.2184
O  0.5802  0.8627  0.6107
O  0.6025  0.5002  0.2184
O  0.6109  0.3824  0.5698
O  0.6176  0.1109  0.4302
O  0.6373  0.5802  0.6107
O  0.8627  0.9198  0.6107
O  0.8824  0.3891  0.4302
O  0.8891  0.1176  0.5698
O  0.8975  0.9998  0.2184
O  0.9198  0.6373  0.6107

***

# NaAlSiO4
Simulated powder diffraction line list, Cu Kα (λ = 1.5418 Å). Input: a DFT-relaxed cell (GGA-PBE, Alexandria).

The 12 most intense peaks (5° ≤ 2θ ≤ 70°), in order of rising 2θ:
- 20.40°, 4.354 Å, rel. 20
- 21.03°, 4.224 Å, rel. 52
- 22.98°, 3.870 Å, rel. 80
- 27.09°, 3.291 Å, rel. 68
- 29.46°, 3.032 Å, rel. 100
- 30.81°, 2.903 Å, rel. 48
- 34.55°, 2.596 Å, rel. 30
- 38.05°, 2.365 Å, rel. 51
- 38.78°, 2.322 Å, rel. 33
- 42.83°, 2.112 Å, rel. 17
- 58.60°, 1.575 Å, rel. 32
- 67.13°, 1.394 Å, rel. 28

Cell and atoms:
a b c (Å): 10.0547 10.0547 8.4486
angles (deg): 90.00 90.00 120.00
Fractional positions:
Na  0.0000  0.0000  0.0000
Na  0.0000  0.0000  0.5000
Na  0.0062  0.5579  0.0159
Na  0.4421  0.4483  0.0159
Na  0.4483  0.0062  0.5159
Na  0.5517  0.9938  0.0159
Na  0.5579  0.5517  0.5159
Na  0.9938  0.4421  0.5159
Al  0.0900  0.7613  0.3289
Al  0.2387  0.3287  0.3289
Al  0.3287  0.0900  0.8289
Al  0.3333  0.6667  0.8166
Al  0.6667  0.3333  0.3166
Al  0.6713  0.9100  0.3289
Al  0.7613  0.6713  0.8289
Al  0.9100  0.2387  0.8289
Si  0.0913  0.7625  0.6993
Si  0.2375  0.3288  0.6993
Si  0.3288  0.0913  0.1993
Si  0.3333  0.6667  0.2157
Si  0.6667  0.3333  0.7157
Si  0.6712  0.9087  0.6993
Si  0.7625  0.6712  0.1993
Si  0.9087  0.2375  0.1993
O  0.0153  0.7100  0.5223
O  0.0392  0.2563  0.3280
O  0.0569  0.2824  0.6910
O  0.1596  0.6516  0.7530
O  0.1711  0.6481  0.2790
O  0.2171  0.9608  0.3280
O  0.2255  0.9431  0.6910
O  0.2563  0.2171  0.8280
O  0.2824  0.2255  0.1910
O  0.2900  0.3052  0.5223
O  0.3052  0.0153  0.0223
O  0.3333  0.6667  0.0232
O  0.3484  0.5080  0.7530
O  0.3519  0.5231  0.2790
O  0.4769  0.8289  0.2790
O  0.4920  0.8404  0.7530
O  0.5080  0.1596  0.2530
O  0.5231  0.1711  0.7790
O  0.6481  0.4769  0.7790
O  0.6516  0.4920  0.2530
O  0.6667  0.3333  0.5232
O  0.6948  0.9847  0.5223
O  0.7100  0.6948  0.0223
O  0.7176  0.7745  0.6910
O  0.7437  0.7829  0.3280
O  0.7745  0.0569  0.1910
O  0.7829  0.0392  0.8280
O  0.8289  0.3519  0.7790
O  0.8404  0.3484  0.2530
O  0.9431  0.7176  0.1910
O  0.9608  0.7437  0.8280
O  0.9847  0.2900  0.0223

***

# Pm4NiOs
Simulated powder diffraction line list, Cu Kα (λ = 1.5418 Å). Input: a DFT-relaxed cell (GGA-PBE, Alexandria).

The 12 most intense peaks (5° ≤ 2θ ≤ 70°), in order of rising 2θ:
- 14.16°, 6.253 Å, rel. 13
- 18.92°, 4.690 Å, rel. 47
- 28.55°, 3.126 Å, rel. 100
- 30.13°, 2.966 Å, rel. 36
- 37.12°, 2.422 Å, rel. 57
- 38.39°, 2.345 Å, rel. 32
- 43.14°, 2.097 Å, rel. 22
- 46.43°, 1.956 Å, rel. 52
- 48.53°, 1.876 Å, rel. 16
- 53.52°, 1.712 Å, rel. 14
- 57.27°, 1.609 Å, rel. 15
- 59.10°, 1.563 Å, rel. 28

Cell and atoms:
a b c (Å): 7.8474 7.8474 7.8474
angles (deg): 106.60 106.60 115.39
Fractional positions:
Pm  0.1971  0.0000  0.1971
Pm  0.2507  0.5514  0.3007
Pm  0.2507  0.9501  0.6993
Pm  0.3014  0.5007  0.8007
Pm  0.7001  0.5007  0.1993
Pm  0.7500  0.0529  0.3029
Pm  0.7500  0.4471  0.6971
Pm  0.8029  0.0000  0.8029
Ni  0.5017  0.0017  0.5000
Ni  0.7517  0.7517  0.0000
Os  0.2485  0.2485  0.0000
Os  0.9985  0.4985  0.5000

***

# Ba3Ac3Ge4
Simulated powder diffraction line list, Cu Kα (λ = 1.5418 Å). Input: a DFT-relaxed cell (GGA-PBE, Alexandria).

The 12 most intense peaks (5° ≤ 2θ ≤ 70°), in order of rising 2θ:
- 23.14°, 3.844 Å, rel. 20
- 23.84°, 3.733 Å, rel. 29
- 28.09°, 3.177 Å, rel. 99
- 29.77°, 3.001 Å, rel. 81
- 30.32°, 2.948 Å, rel. 100
- 33.08°, 2.708 Å, rel. 32
- 33.82°, 2.651 Å, rel. 28
- 37.46°, 2.401 Å, rel. 38
- 44.49°, 2.036 Å, rel. 24
- 48.59°, 1.874 Å, rel. 32
- 50.82°, 1.797 Å, rel. 19
- 51.35°, 1.779 Å, rel. 17

Cell and atoms:
a b c (Å): 4.8020 8.4768 8.4768
angles (deg): 87.94 90.00 90.00
Fractional positions:
Ba  0.0000  0.0000  0.0000
Ba  0.5000  0.3209  0.8466
Ba  0.5000  0.8466  0.3209
Ac  0.0000  0.1676  0.5106
Ac  0.0000  0.5106  0.1676
Ac  0.0000  0.6606  0.6606
Ge  0.5000  0.2417  0.2417
Ge  0.5000  0.4557  0.4557
Ge  0.5000  0.7085  0.9345
Ge  0.5000  0.9345  0.7085